This entry pairs a crystal structure of Pm2YTm12 with its computed XRD peak list. Radiation: Cu Kα X-rays. Structure: DFT lattice parameters and positions (GGA-PBE).
No peak broadening, texture or thermal motion is included.

Atomic structure:
Unit cell a=7.1037 b=11.0906 c=23.8593 alpha=90.00 beta=94.28 gamma=90.00
Space group C2/m (No. 12)
One atom of each set of equivalent atoms:
1 Pm 0.0694 0.0000 0.2807
2 Pm 0.0695 0.5000 0.2805
3 Y 0.2500 0.0000 0.0000
4 Tm 0.0170 0.2499 0.0665
5 Tm 0.0339 0.0000 0.1350
6 Tm 0.0339 0.5000 0.1348
7 Tm 0.1110 0.2495 0.4452
8 Tm 0.1430 0.5000 0.5718
9 Tm 0.1438 0.0000 0.5715
10 Tm 0.1678 0.2501 0.6696
11 Tm 0.2021 0.2500 0.8085

The 10 most intense peaks (10° ≤ 2θ ≤ 90°), in order of rising 2θ:
- 2θ 30.9, I 66
- 2θ 31.4, I 100
- 2θ 32.3, I 84
- 2θ 32.6, I 54
- 2θ 34.2, I 41
- 2θ 34.5, I 52
- 2θ 36.5, I 28
- 2θ 46.6, I 30
- 2θ 51.5, I 23
- 2θ 62.1, I 28


This entry pairs a crystal structure of Pm4YTm2 with its computed XRD peak list. Radiation: Cu Kα X-rays. Structure: DFT lattice parameters and positions (GGA-PBE).
No peak broadening, texture or thermal motion is included.

Atomic structure:
Unit cell a=11.9153 b=24.1721 c=6.4445 alpha=90.00 beta=90.00 gamma=90.00
Space group Fdd2 (No. 43)
One atom of each set of equivalent atoms:
1 Pm 0.0532 0.4292 0.0000
2 Pm 0.0700 0.3564 0.4703
3 Y 0.0000 0.0000 0.0061
4 Tm 0.0253 0.2840 0.9421

The 10 most intense peaks (10° ≤ 2θ ≤ 90°), in order of rising 2θ:
- 2θ 28.7, I 14
- 2θ 30.3, I 100
- 2θ 30.9, I 36
- 2θ 31.6, I 61
- 2θ 32.3, I 38
- 2θ 32.4, I 29
- 2θ 37.2, I 24
- 2θ 50.6, I 20
- 2θ 55.4, I 19
- 2θ 60.9, I 14


This entry pairs a crystal structure of Pm5Y4Tm4 with its computed XRD peak list. Radiation: Cu Kα X-rays. Structure: DFT lattice parameters and positions (GGA-PBE).
No peak broadening, texture or thermal motion is included.

Atomic structure:
Unit cell a=12.9030 b=12.9030 c=5.0522 alpha=90.00 beta=90.00 gamma=90.00
Space group I4/m (No. 87)
One atom of each set of equivalent atoms:
1 Pm 0.0000 0.0000 0.0000
2 Pm 0.0400 0.1926 0.5000
3 Y 0.0772 0.3845 0.0000
4 Tm 0.1545 0.7678 0.0000

The 10 most intense peaks (10° ≤ 2θ ≤ 90°), in order of rising 2θ:
- 2θ 23.4, I 3
- 2θ 30.6, I 100
- 2θ 35.5, I 50
- 2θ 51.1, I 36
- 2θ 60.7, I 42
- 2θ 63.7, I 12
- 2θ 75.1, I 4
- 2θ 83.3, I 17
- 2θ 85.9, I 11
- 2θ 86.0, I 5